Structure and simulated powder X-ray diffraction pattern of CaMg5Hg3 (a crystal structure in Alexandria, relaxed with GGA-PBE; Cu Kα (λ = 1.5418 Å)).
No peak broadening, texture or thermal motion is included.

Structure:
```
data_CaMg5Hg3
_chemical_formula_sum 'Ca4 Mg20 Hg12'
_space_group_name_H-M_alt 'C m c m'
_space_group_IT_number 63
_space_group_name_Hall '-C 2c 2'
_cell_length_a 3.735
_cell_length_b 15.405
_cell_length_c 15.209
_cell_angle_alpha 90.00
_cell_angle_beta 90.00
_cell_angle_gamma 90.00
loop_
_atom_site_label
_atom_site_fract_x
_atom_site_fract_y
_atom_site_fract_z
Ca1 0.000 0.157 0.250
Mg1 0.000 0.000 0.000
Mg2 0.000 0.195 0.565
Mg3 0.000 0.452 0.152
Hg1 0.000 0.163 0.750
Hg2 0.000 0.377 0.573
```

Most intense lines, 2θ from 10° to 90°, by angle:
- 2θ = 20.98°, I = 100, hkl 0 2 3
- 2θ = 23.09°, I = 40, hkl 0 4 0
- 2θ = 25.23°, I = 38, hkl 1 1 1
- 2θ = 27.22°, I = 27, hkl 1 1 2
- 2θ = 31.88°, I = 52, hkl 1 3 2
- 2θ = 35.42°, I = 25, hkl 0 0 6
- 2θ = 37.85°, I = 20, hkl 1 5 0
- 2θ = 38.62°, I = 29, hkl 1 1 5
- 2θ = 42.70°, I = 21, hkl 0 4 6
- 2θ = 48.78°, I = 21, hkl 2 0 0

---

Structure and simulated powder X-ray diffraction pattern of AgPtCl2 (a crystal structure in Alexandria, relaxed with GGA-PBE; Cu Kα (λ = 1.5418 Å)).
No peak broadening, texture or thermal motion is included.

Structure:
```
data_AgPtCl2
_chemical_formula_sum 'Ag1 Pt1 Cl2'
_space_group_name_H-M_alt 'P 1 m 1'
_space_group_IT_number 6
_cell_length_a 4.682
_cell_length_b 4.577
_cell_length_c 4.713
_cell_angle_alpha 90.00
_cell_angle_beta 115.66
_cell_angle_gamma 90.00
loop_
_space_group_symop_operation_xyz
'x,y,z'
'x,-y,z'
loop_
_atom_site_label
_atom_site_fract_x
_atom_site_fract_y
_atom_site_fract_z
Ag1 0.000 0.000 0.000
Pt1 0.743 0.500 0.262
Cl1 0.219 0.500 0.785
Cl2 0.665 0.000 0.337
```

Most intense lines, 2θ from 10° to 90°, by angle:
- 2θ = 20.91°, I = 49, hkl 0 0 1
- 2θ = 21.05°, I = 50, hkl 1 0 0
- 2θ = 28.67°, I = 27, hkl 0 1 1
- 2θ = 28.77°, I = 26, hkl 1 1 0
- 2θ = 29.76°, I = 100, hkl 1 1 -1
- 2θ = 35.91°, I = 42, hkl 1 0 1
- 2θ = 39.38°, I = 32, hkl 0 2 0
- 2θ = 45.03°, I = 27, hkl 1 2 0
- 2θ = 47.18°, I = 28, hkl 0 1 2
- 2θ = 47.44°, I = 27, hkl 2 1 0

---

Structure and simulated powder X-ray diffraction pattern of Pr6Si2Sb (a crystal structure in Alexandria, relaxed with GGA-PBE; Cu Kα (λ = 1.5418 Å)).
No peak broadening, texture or thermal motion is included.

Structure:
```
data_Pr6Si2Sb
_chemical_formula_sum 'Pr24 Si8 Sb4'
_space_group_name_H-M_alt 'I m m m'
_space_group_IT_number 71
_space_group_name_Hall '-I 2 2'
_cell_length_a 9.772
_cell_length_b 10.050
_cell_length_c 10.817
_cell_angle_alpha 90.00
_cell_angle_beta 90.00
_cell_angle_gamma 90.00
loop_
_atom_site_label
_atom_site_fract_x
_atom_site_fract_y
_atom_site_fract_z
Pr1 0.000 0.208 0.242
Pr2 0.207 0.500 0.180
Pr3 0.223 0.309 0.500
Si1 0.000 0.378 0.000
Si2 0.000 0.500 0.389
Sb1 0.000 0.000 0.000
Sb2 0.000 0.000 0.500
```

Most intense lines, 2θ from 10° to 90°, by angle:
- 2θ = 26.27°, I = 17, hkl 0 1 3
- 2θ = 27.88°, I = 14, hkl 0 3 1
- 2θ = 28.81°, I = 18, hkl 3 1 0
- 2θ = 30.40°, I = 100, hkl 2 2 2
- 2θ = 32.11°, I = 24, hkl 2 1 3
- 2θ = 32.75°, I = 29, hkl 1 3 2
- 2θ = 33.13°, I = 15, hkl 0 0 4
- 2θ = 33.47°, I = 21, hkl 2 3 1
- 2θ = 36.79°, I = 19, hkl 4 0 0
- 2θ = 57.16°, I = 16, hkl 5 3 2